Diffraction record for Mg5Te4S. The powder X-ray diffraction pattern is simulated, not measured: it uses a crystal structure in Alexandria, relaxed with PBE and Cu Kα, 1.54184 Å.
No peak broadening, texture or thermal motion is included.

Top 10 peaks for 2θ = 5–70°, in order of rising 2θ:
hkl, 2theta, I (rel.)
1 0 0, 22.84, 56
0 0 10, 24.35, 30
1 0 5, 25.93, 100
1 0 10, 33.63, 21
1 1 0, 40.12, 48
1 0 14, 41.65, 21
0 1 15, 43.83, 25
1 1 10, 47.49, 29
0 2 5, 48.39, 19
2 1 5, 64.62, 15

Atomic structure:
```
data_Mg5Te4S
_symmetry_space_group_name_H-M 'P 3 m 1'
_symmetry_Int_Tables_number 156
_cell_length_a 4.4950
_cell_length_b 4.4950
_cell_length_c 36.5520
_cell_angle_alpha 90.00
_cell_angle_beta 90.00
_cell_angle_gamma 120.00
loop_
_symmetry_equiv_pos_as_xyz
'x,y,z'
'-y,x-y,z'
'-x+y,-x,z'
'-y,-x,z'
'-x+y,y,z'
'x,x-y,z'
loop_
_atom_site_label
_atom_site_type_symbol
_atom_site_fract_x
_atom_site_fract_y
_atom_site_fract_z
Mg1 Mg 0.0000 0.0000 0.0000
Mg2 Mg 0.0000 0.0000 0.1861
Mg3 Mg 0.0000 0.0000 0.3717
Mg4 Mg 0.0000 0.0000 0.5811
Mg5 Mg 0.0000 0.0000 0.7902
Mg6 Mg 0.3333 0.6667 0.0812
Mg7 Mg 0.3333 0.6667 0.2672
Mg8 Mg 0.3333 0.6667 0.4765
Mg9 Mg 0.3333 0.6667 0.6857
Mg10 Mg 0.3333 0.6667 0.8949
Te1 Te 0.0000 0.0000 0.4490
Te2 Te 0.0000 0.0000 0.6583
Te3 Te 0.0000 0.0000 0.8675
Te4 Te 0.3333 0.6667 0.1584
Te5 Te 0.3333 0.6667 0.3445
Te6 Te 0.3333 0.6667 0.5537
Te7 Te 0.3333 0.6667 0.7629
Te8 Te 0.3333 0.6667 0.9722
S1 S 0.0000 0.0000 0.0669
S2 S 0.0000 0.0000 0.2530
```

=====

Diffraction record for Mg3TeS6. The powder X-ray diffraction pattern is simulated, not measured: it uses a crystal structure in Alexandria, relaxed with PBE and Cu Kα, 1.54184 Å.
No peak broadening, texture or thermal motion is included.

Top 10 peaks for 2θ = 5–70°, in order of rising 2θ:
hkl, 2theta, I (rel.)
0 0 3, 15.31, 23
1 0 1, 16.59, 66
0 1 2, 18.82, 81
1 0 4, 25.95, 46
1 1 3, 31.63, 100
0 2 4, 38.18, 33
2 -1 6, 41.85, 82
2 1 4, 47.70, 28
3 0 0, 48.64, 51
2 -1 9, 55.41, 31

Atomic structure:
```
data_Mg3TeS6
_symmetry_space_group_name_H-M 'R 3'
_symmetry_Int_Tables_number 146
_symmetry_space_group_name_Hall 'R 3'
_cell_length_a 6.4839
_cell_length_b 6.4839
_cell_length_c 17.3617
_cell_angle_alpha 90.00
_cell_angle_beta 90.00
_cell_angle_gamma 120.00
loop_
_atom_site_label
_atom_site_type_symbol
_atom_site_fract_x
_atom_site_fract_y
_atom_site_fract_z
Mg1 Mg 0.0000 0.0000 0.0000
Mg2 Mg 0.0000 0.0000 0.2086
Mg3 Mg 0.0000 0.0000 0.7141
Te1 Te 0.0000 0.0000 0.5167
S1 S 0.0145 0.3100 0.1105
S2 S 0.0389 0.6772 0.2794
```

=====

Diffraction record for MgTl2TeS4. The powder X-ray diffraction pattern is simulated, not measured: it uses a crystal structure in Alexandria, relaxed with PBE and Cu Kα, 1.54184 Å.
No peak broadening, texture or thermal motion is included.

Top 10 peaks for 2θ = 5–70°, in order of rising 2θ:
hkl, 2theta, I (rel.)
0 1 1, 13.12, 23
2 1 1, 25.75, 16
0 2 2, 26.41, 39
2 0 2, 26.97, 36
2 2 0, 30.91, 100
0 4 0, 43.55, 12
2 2 4, 44.29, 47
2 4 2, 51.98, 15
4 2 2, 52.92, 13
0 4 4, 54.37, 12

Atomic structure:
```
data_MgTl2TeS4
_symmetry_space_group_name_H-M 'I m m a'
_symmetry_Int_Tables_number 74
_symmetry_space_group_name_Hall '-I 2b 2'
_cell_length_a 8.060
_cell_length_b 8.312
_cell_length_c 11.567
_cell_angle_alpha 90.00
_cell_angle_beta 90.00
_cell_angle_gamma 90.00
loop_
_atom_site_label
_atom_site_type_symbol
_atom_site_fract_x
_atom_site_fract_y
_atom_site_fract_z
Mg1 Mg 0.250 0.250 0.250
Tl1 Tl 0.000 0.000 0.000
Tl2 Tl 0.250 0.250 0.750
Te1 Te 0.000 0.000 0.500
S1 S 0.000 0.039 0.265
S2 S 0.225 0.250 0.483
```

=====

Diffraction record for MgTi4S8. The powder X-ray diffraction pattern is simulated, not measured: it uses a crystal structure in Alexandria, relaxed with PBE and Cu Kα, 1.54184 Å.
No peak broadening, texture or thermal motion is included.

Top 10 peaks for 2θ = 5–70°, in order of rising 2θ:
hkl, 2theta, I (rel.)
0 0 3, 15.45, 46
0 2 1, 29.76, 17
0 2 4, 36.13, 100
2 0 5, 39.53, 4
1 2 5, 47.48, 5
2 2 0, 51.91, 32
2 0 8, 52.13, 31
2 2 3, 54.51, 5
4 0 4, 64.88, 15
0 0 12, 65.26, 5

Atomic structure:
```
data_MgTi4S8
_symmetry_space_group_name_H-M 'R -3 m'
_symmetry_Int_Tables_number 166
_symmetry_space_group_name_Hall '-R 3 2"'
_cell_length_a 7.0451
_cell_length_b 7.0451
_cell_length_c 17.1562
_cell_angle_alpha 90.00
_cell_angle_beta 90.00
_cell_angle_gamma 120.00
loop_
_atom_site_label
_atom_site_type_symbol
_atom_site_fract_x
_atom_site_fract_y
_atom_site_fract_z
Mg1 Mg 0.0000 0.0000 0.0000
Ti1 Ti 0.0000 0.0000 0.5000
Ti2 Ti 0.0000 0.5000 0.0000
S1 S 0.0000 0.0000 0.2545
S2 S 0.0083 0.5042 0.2499
```

=====

Number 1 is which compound?
Mg5Te4S

=====

Copy entry 4 word for word.
Diffraction record for MgTi4S8. The powder X-ray diffraction pattern is simulated, not measured: it uses a crystal structure in Alexandria, relaxed with PBE and Cu Kα, 1.54184 Å.
No peak broadening, texture or thermal motion is included.

Top 10 peaks for 2θ = 5–70°, in order of rising 2θ:
hkl, 2theta, I (rel.)
0 0 3, 15.45, 46
0 2 1, 29.76, 17
0 2 4, 36.13, 100
2 0 5, 39.53, 4
1 2 5, 47.48, 5
2 2 0, 51.91, 32
2 0 8, 52.13, 31
2 2 3, 54.51, 5
4 0 4, 64.88, 15
0 0 12, 65.26, 5

Atomic structure:
```
data_MgTi4S8
_symmetry_space_group_name_H-M 'R -3 m'
_symmetry_Int_Tables_number 166
_symmetry_space_group_name_Hall '-R 3 2"'
_cell_length_a 7.0451
_cell_length_b 7.0451
_cell_length_c 17.1562
_cell_angle_alpha 90.00
_cell_angle_beta 90.00
_cell_angle_gamma 120.00
loop_
_atom_site_label
_atom_site_type_symbol
_atom_site_fract_x
_atom_site_fract_y
_atom_site_fract_z
Mg1 Mg 0.0000 0.0000 0.0000
Ti1 Ti 0.0000 0.0000 0.5000
Ti2 Ti 0.0000 0.5000 0.0000
S1 S 0.0000 0.0000 0.2545
S2 S 0.0083 0.5042 0.2499
```